No. 1
Calculated X-ray diffraction stick pattern
Compound: AcSiP6Os2
Radiation: Cu Ka
Structure: a cell relaxed with PBE
Peak positions follow from Bragg's law for the DFT cell and can differ from measured ones.

Principal peaks in the range 2θ = 5–70°, sorted by position:
14.49°, I = 100; 25.09°, I = 15; 27.55°, I = 64; 31.26°, I = 82; 37.90°, I = 14; 40.58°, I = 50; 48.72°, I = 17; 51.10°, I = 22; 57.82°, I = 14; 59.04°, I = 15

Structure:
```
AcSiP6Os2
1.0
3.237 1.869 6.115
-3.237 1.869 6.115
0.000 -3.738 6.115
Ac Si P Os
1 1 6 2
Direct
0.000 0.000 0.000
0.500 0.500 0.500
0.117 0.488 0.612
0.388 0.883 0.512
0.488 0.612 0.117
0.512 0.388 0.883
0.612 0.117 0.488
0.883 0.512 0.388
0.312 0.312 0.312
0.688 0.688 0.688
```

No. 2
Calculated X-ray diffraction stick pattern
Compound: Dy12HoTm6
Radiation: Cu Ka
Structure: a cell relaxed with PBE
Peak positions follow from Bragg's law for the DFT cell and can differ from measured ones.

Principal peaks in the range 2θ = 5–70°, sorted by position:
30.97°, I = 42; 31.82°, I = 24; 32.23°, I = 100; 33.29°, I = 69; 33.89°, I = 28; 35.38°, I = 18; 45.69°, I = 13; 56.40°, I = 16; 57.27°, I = 12; 59.08°, I = 14

Structure:
```
Dy12HoTm6
1.0
5.882 3.396 5.018
-5.882 3.396 5.018
0.000 -6.792 5.018
Dy Ho Tm
12 1 6
Direct
0.011 0.359 0.203
0.203 0.011 0.359
0.224 0.566 0.458
0.359 0.203 0.011
0.434 0.542 0.776
0.458 0.224 0.566
0.542 0.776 0.434
0.566 0.458 0.224
0.641 0.797 0.989
0.776 0.434 0.542
0.797 0.989 0.641
0.989 0.641 0.797
0.000 0.000 0.000
0.095 0.257 0.693
0.257 0.693 0.095
0.307 0.905 0.743
0.693 0.095 0.257
0.743 0.307 0.905
0.905 0.743 0.307
```

No. 3
Calculated X-ray diffraction stick pattern
Compound: ZrCd3Ag
Radiation: Cu Ka
Structure: a cell relaxed with PBE
Peak positions follow from Bragg's law for the DFT cell and can differ from measured ones.

Principal peaks in the range 2θ = 5–70°, sorted by position:
35.18°, I = 38; 36.32°, I = 56; 36.86°, I = 87; 37.36°, I = 100; 39.75°, I = 13; 51.46°, I = 25; 55.47°, I = 14; 65.69°, I = 15; 66.03°, I = 18; 68.10°, I = 22

Structure:
```
ZrCd3Ag
1.0
4.947 0.000 0.000
0.000 3.069 0.000
0.000 0.000 13.776
Zr Cd Ag
2 6 2
Direct
0.250 0.000 0.155
0.750 0.000 0.845
0.250 0.000 0.562
0.250 0.500 0.356
0.250 0.500 0.949
0.750 0.000 0.438
0.750 0.500 0.051
0.750 0.500 0.644
0.250 0.500 0.750
0.750 0.500 0.250
```

No. 4
Calculated X-ray diffraction stick pattern
Compound: TeP2S8
Radiation: Cu Ka
Structure: a cell relaxed with PBE
Peak positions follow from Bragg's law for the DFT cell and can differ from measured ones.

Principal peaks in the range 2θ = 5–70°, sorted by position:
11.92°, I = 36; 14.03°, I = 100; 15.32°, I = 16; 21.77°, I = 30; 24.94°, I = 29; 28.40°, I = 15; 35.19°, I = 25; 36.35°, I = 12; 41.87°, I = 14; 49.06°, I = 11

Structure:
```
TeP2S8
1.0
4.844 -6.312 0.000
4.844 6.312 0.000
-1.940 0.000 5.783
Te P S
1 2 8
Direct
0.000 0.000 0.000
0.238 0.238 0.710
0.762 0.762 0.290
0.023 0.285 0.817
0.242 0.242 0.376
0.285 0.023 0.817
0.469 0.469 0.816
0.531 0.531 0.184
0.715 0.977 0.183
0.758 0.758 0.624
0.977 0.715 0.183
```

No. 5
Calculated X-ray diffraction stick pattern
Compound: CePmScAg
Radiation: Cu Ka
Structure: a cell relaxed with PBE
Peak positions follow from Bragg's law for the DFT cell and can differ from measured ones.

Principal peaks in the range 2θ = 5–70°, sorted by position:
20.71°, I = 12; 23.96°, I = 4; 34.14°, I = 100; 40.27°, I = 7; 42.14°, I = 1; 49.05°, I = 18; 53.79°, I = 3; 55.31°, I = 1; 61.12°, I = 36; 65.27°, I = 2

Structure:
```
CePmScAg
1.0
0.000 3.714 3.714
3.714 0.000 3.714
3.714 3.714 0.000
Ce Pm Sc Ag
1 1 1 1
Direct
0.000 0.000 0.000
0.750 0.750 0.750
0.500 0.500 0.500
0.250 0.250 0.250
```

No. 6
Calculated X-ray diffraction stick pattern
Compound: Ce3GaOs2
Radiation: Cu Ka
Structure: a cell relaxed with PBE
Peak positions follow from Bragg's law for the DFT cell and can differ from measured ones.

Principal peaks in the range 2θ = 5–70°, sorted by position:
20.34°, I = 26; 29.50°, I = 54; 32.09°, I = 94; 37.65°, I = 28; 38.53°, I = 27; 38.94°, I = 100; 39.31°, I = 49; 44.95°, I = 34; 55.56°, I = 18; 61.22°, I = 27

Structure:
```
Ce3GaOs2
1.0
-2.017 2.292 7.168
2.017 -2.292 7.168
2.017 2.292 -7.168
Ce Ga Os
3 1 2
Direct
0.000 0.000 0.000
0.318 0.818 0.500
0.682 0.182 0.500
0.500 0.500 0.000
0.138 0.638 0.500
0.862 0.362 0.500
```

No. 7
Calculated X-ray diffraction stick pattern
Compound: Sm8P3CI4
Radiation: Cu Ka
Structure: a cell relaxed with PBE
Peak positions follow from Bragg's law for the DFT cell and can differ from measured ones.

Principal peaks in the range 2θ = 5–70°, sorted by position:
25.34°, I = 18; 26.24°, I = 14; 29.60°, I = 100; 31.90°, I = 44; 35.42°, I = 20; 40.55°, I = 20; 44.09°, I = 39; 54.00°, I = 17; 57.78°, I = 26; 58.67°, I = 13

Structure:
```
Sm8P3CI4
1.0
4.108 2.372 7.603
-4.108 2.372 7.603
0.000 -4.743 7.603
Sm P C I
8 3 1 4
Direct
0.229 0.229 0.229
0.254 0.713 0.713
0.287 0.287 0.746
0.287 0.746 0.287
0.713 0.254 0.713
0.713 0.713 0.254
0.746 0.287 0.287
0.771 0.771 0.771
0.000 0.000 0.500
0.000 0.500 0.000
0.500 0.000 0.000
0.500 0.500 0.500
0.000 0.000 0.000
0.000 0.500 0.500
0.500 0.000 0.500
0.500 0.500 0.000
```

No. 8
Calculated X-ray diffraction stick pattern
Compound: Cr5SiB2
Radiation: Cu Ka
Structure: a cell relaxed with PBE
Peak positions follow from Bragg's law for the DFT cell and can differ from measured ones.

Principal peaks in the range 2θ = 5–70°, sorted by position:
34.68°, I = 14; 36.54°, I = 8; 36.99°, I = 73; 41.73°, I = 45; 44.77°, I = 100; 45.92°, I = 20; 47.92°, I = 65; 51.71°, I = 55; 57.84°, I = 10; 69.98°, I = 12

Structure:
```
Cr5SiB2
1.0
-2.795 2.795 5.173
2.795 -2.795 5.173
2.795 2.795 -5.173
Cr Si B
10 2 4
Direct
0.000 0.000 0.000
0.030 0.530 0.835
0.195 0.030 0.500
0.305 0.805 0.835
0.470 0.305 0.500
0.500 0.500 0.000
0.530 0.695 0.500
0.695 0.195 0.165
0.805 0.970 0.500
0.970 0.470 0.165
0.250 0.250 0.000
0.750 0.750 0.000
0.119 0.381 0.500
0.381 0.881 0.262
0.619 0.119 0.738
0.881 0.619 0.500
```

No. 9
Calculated X-ray diffraction stick pattern
Compound: ScBIrRh2
Radiation: Cu Ka
Structure: a cell relaxed with PBE
Peak positions follow from Bragg's law for the DFT cell and can differ from measured ones.

Principal peaks in the range 2θ = 5–70°, sorted by position:
21.49°, I = 25; 30.58°, I = 17; 37.68°, I = 100; 43.79°, I = 52; 49.28°, I = 12; 54.34°, I = 7; 63.65°, I = 34; 68.02°, I = 6

Structure:
```
ScBIrRh2
1.0
4.136 0.000 0.000
0.000 4.136 0.000
0.000 0.000 4.133
Sc B Ir Rh
1 1 1 2
Direct
0.000 0.000 0.000
0.500 0.500 0.500
0.500 0.500 0.000
0.000 0.500 0.500
0.500 0.000 0.500
```

No. 10
Calculated X-ray diffraction stick pattern
Compound: BeSbTe
Radiation: Cu Ka
Structure: a cell relaxed with PBE
Peak positions follow from Bragg's law for the DFT cell and can differ from measured ones.

Principal peaks in the range 2θ = 5–70°, sorted by position:
14.54°, I = 68; 25.47°, I = 25; 26.27°, I = 20; 27.07°, I = 100; 28.76°, I = 66; 29.31°, I = 33; 32.71°, I = 54; 34.07°, I = 38; 44.13°, I = 23; 46.16°, I = 38

Structure:
```
BeSbTe
1.0
6.223 -3.497 0.000
6.223 3.497 0.000
-0.265 0.000 3.997
Be Sb Te
2 2 2
Direct
0.195 0.195 0.174
0.805 0.805 0.826
0.062 0.938 0.000
0.361 0.639 0.500
0.096 0.421 0.689
0.579 0.904 0.311
```

No. 11
Calculated X-ray diffraction stick pattern
Compound: YCr2Mo
Radiation: Cu Ka
Structure: a cell relaxed with PBE
Peak positions follow from Bragg's law for the DFT cell and can differ from measured ones.

Principal peaks in the range 2θ = 5–70°, sorted by position:
12.79°, I = 9; 25.74°, I = 10; 28.32°, I = 10; 38.64°, I = 100; 40.48°, I = 51; 48.60°, I = 7; 52.92°, I = 6; 58.59°, I = 16; 61.10°, I = 8; 68.68°, I = 11

Structure:
```
YCr2Mo
1.0
3.151 0.000 0.000
0.000 3.151 0.000
0.000 0.000 6.921
Y Cr Mo
1 2 1
Direct
0.000 0.000 0.000
0.500 0.500 0.301
0.500 0.500 0.699
0.000 0.000 0.500
```

No. 12
Calculated X-ray diffraction stick pattern
Compound: Pm6Al2N
Radiation: Cu Ka
Structure: a cell relaxed with PBE
Peak positions follow from Bragg's law for the DFT cell and can differ from measured ones.

Principal peaks in the range 2θ = 5–70°, sorted by position:
17.92°, I = 22; 25.45°, I = 15; 31.30°, I = 100; 36.30°, I = 53; 40.76°, I = 11; 44.85°, I = 7; 52.27°, I = 37; 55.71°, I = 5; 62.20°, I = 42; 65.30°, I = 13

Structure:
```
Pm6Al2N
1.0
0.000 4.950 4.950
4.950 0.000 4.950
4.950 4.950 0.000
Pm Al N
6 2 1
Direct
0.246 0.246 0.754
0.246 0.754 0.246
0.246 0.754 0.754
0.754 0.246 0.246
0.754 0.246 0.754
0.754 0.754 0.246
0.250 0.250 0.250
0.750 0.750 0.750
0.000 0.000 0.000
```

No. 13
Calculated X-ray diffraction stick pattern
Compound: YHo4Th4
Radiation: Cu Ka
Structure: a cell relaxed with PBE
Peak positions follow from Bragg's law for the DFT cell and can differ from measured ones.

Principal peaks in the range 2θ = 5–70°, sorted by position:
16.64°, I = 3; 19.46°, I = 4; 30.79°, I = 100; 35.58°, I = 17; 35.76°, I = 34; 51.33°, I = 24; 51.47°, I = 12; 60.94°, I = 15; 61.19°, I = 29; 64.14°, I = 13

Structure:
```
YHo4Th4
1.0
-5.326 5.326 2.523
5.326 -5.326 2.523
5.326 5.326 -2.523
Y Ho Th
1 4 4
Direct
0.000 0.000 0.000
0.000 0.330 0.330
0.000 0.670 0.670
0.330 0.000 0.330
0.670 0.000 0.670
0.333 0.333 0.667
0.333 0.667 0.000
0.667 0.333 0.000
0.667 0.667 0.333
```

No. 14
Calculated X-ray diffraction stick pattern
Compound: Ba2PuNiH6
Radiation: Cu Ka
Structure: a cell relaxed with PBE
Peak positions follow from Bragg's law for the DFT cell and can differ from measured ones.

Principal peaks in the range 2θ = 5–70°, sorted by position:
18.25°, I = 29; 23.45°, I = 100; 31.89°, I = 79; 34.86°, I = 68; 39.96°, I = 27; 47.96°, I = 28; 52.01°, I = 24; 56.04°, I = 19; 56.82°, I = 15; 58.75°, I = 31

Structure:
```
Ba2PuNiH6
1.0
5.613 0.000 0.000
-2.806 4.861 0.000
0.000 0.000 6.068
Ba Pu Ni H
2 1 1 6
Direct
0.333 0.667 0.168
0.667 0.333 0.832
0.000 0.000 0.500
0.000 0.000 0.000
0.136 0.273 0.827
0.136 0.864 0.827
0.273 0.136 0.173
0.727 0.864 0.827
0.864 0.136 0.173
0.864 0.727 0.173
```